# 1
For Li2Pm3Hg3, a PBE-relaxed structure gives the theoretical PXRD pattern in this record (Cu Ka).
Neutral-atom scattering factors, no anomalous dispersion.

Most intense lines, 2θ = 5–70°, by angle:
2θ/deg	d_spacing	I_rel
26.19	3.403	88
30.06	2.972	100
32.28	2.773	60
32.77	2.733	55
32.89	2.724	33
33.27	2.693	32
36.44	2.466	32
36.90	2.436	61
39.38	2.288	34
43.03	2.102	37

```
data_Li2Pm3Hg3
_symmetry_space_group_name_H-M 'P 1'
_symmetry_Int_Tables_number 1
_symmetry_space_group_name_Hall 'P 1'
_cell_length_a 5.6153
_cell_length_b 5.6153
_cell_length_c 16.1588
_cell_angle_alpha 90.00
_cell_angle_beta 90.00
_cell_angle_gamma 128.58
loop_
_atom_site_label
_atom_site_fract_x
_atom_site_fract_y
_atom_site_fract_z
Li1 0.2330 0.7670 0.5891
Li2 0.2330 0.7670 0.9109
Li3 0.7670 0.2330 0.0891
Li4 0.7670 0.2330 0.4109
Pm1 0.0732 0.9268 0.1118
Pm2 0.0732 0.9268 0.3882
Pm3 0.3735 0.6265 0.2500
Pm4 0.6265 0.3735 0.7500
Pm5 0.9268 0.0732 0.6118
Pm6 0.9268 0.0732 0.8882
Hg1 0.3242 0.6758 0.7500
Hg2 0.3789 0.6211 0.0527
Hg3 0.3789 0.6211 0.4473
Hg4 0.6211 0.3789 0.5527
Hg5 0.6211 0.3789 0.9473
Hg6 0.6758 0.3242 0.2500
```

# 2
For LiPm5Hg8, a PBE-relaxed structure gives the theoretical PXRD pattern in this record (Cu Ka).
Neutral-atom scattering factors, no anomalous dispersion.

Most intense lines, 2θ = 5–70°, by angle:
2θ/deg	d_spacing	I_rel
23.98	3.711	22
27.74	3.216	8
31.10	2.876	100
37.00	2.430	98
49.07	1.857	22
51.20	1.784	18
62.97	1.476	21
63.11	1.473	11
64.78	1.439	7
66.63	1.404	13

```
data_LiPm5Hg8
_symmetry_space_group_name_H-M 'P 1'
_symmetry_Int_Tables_number 1
_symmetry_space_group_name_Hall 'P 1'
_cell_length_a 7.8745
_cell_length_b 7.8745
_cell_length_c 7.8745
_cell_angle_alpha 109.38
_cell_angle_beta 109.38
_cell_angle_gamma 109.65
loop_
_atom_site_label
_atom_site_fract_x
_atom_site_fract_y
_atom_site_fract_z
Li1 0.0000 0.0000 0.0000
Pm1 0.2814 0.6410 0.1327
Pm2 0.3590 0.4918 0.6404
Pm3 0.5082 0.1486 0.8673
Pm4 0.7500 0.2500 0.5000
Pm5 0.8514 0.7186 0.3596
Hg1 0.1016 0.1814 0.7606
Hg2 0.1325 0.7480 0.7736
Hg3 0.2520 0.0256 0.3845
Hg4 0.4207 0.3409 0.2394
Hg5 0.6411 0.8675 0.6155
Hg6 0.6591 0.8984 0.0798
Hg7 0.8186 0.5793 0.9202
Hg8 0.9744 0.3589 0.2264
```

# 3
For Li5PmHg6, a PBE-relaxed structure gives the theoretical PXRD pattern in this record (Cu Ka).
Neutral-atom scattering factors, no anomalous dispersion.

Most intense lines, 2θ = 5–70°, by angle:
2θ/deg	d_spacing	I_rel
25.49	3.495	35
25.87	3.443	36
25.99	3.428	36
36.68	2.450	100
36.83	2.441	27
37.18	2.418	25
45.32	2.001	16
45.62	1.989	14
59.33	1.558	10
59.89	1.544	10

```
data_Li5PmHg6
_symmetry_space_group_name_H-M 'P 1'
_symmetry_Int_Tables_number 1
_symmetry_space_group_name_Hall 'P 1'
_cell_length_a 4.8813
_cell_length_b 6.9899
_cell_length_c 7.6439
_cell_angle_alpha 90.00
_cell_angle_beta 108.36
_cell_angle_gamma 90.00
loop_
_atom_site_label
_atom_site_fract_x
_atom_site_fract_y
_atom_site_fract_z
Li1 0.0000 0.0000 0.0000
Li2 0.3285 0.5000 0.6535
Li3 0.3390 0.0000 0.6807
Li4 0.6610 0.0000 0.3193
Li5 0.6715 0.5000 0.3465
Pm1 0.0000 0.5000 0.0000
Hg1 0.1750 0.2299 0.3481
Hg2 0.1750 0.7701 0.3481
Hg3 0.5000 0.2237 0.0000
Hg4 0.5000 0.7763 0.0000
Hg5 0.8250 0.2299 0.6519
Hg6 0.8250 0.7701 0.6519
```

# 4
For LiPmHg, a PBE-relaxed structure gives the theoretical PXRD pattern in this record (Cu Ka).
Neutral-atom scattering factors, no anomalous dispersion.

Most intense lines, 2θ = 5–70°, by angle:
2θ/deg	d_spacing	I_rel
10.16	8.704	66
20.41	4.352	67
30.65	2.917	20
30.82	2.901	28
31.09	2.876	100
32.79	2.731	20
33.55	2.671	40
37.48	2.400	62
39.59	2.276	28
44.35	2.043	39

```
data_LiPmHg
_symmetry_space_group_name_H-M 'P 1'
_symmetry_Int_Tables_number 1
_symmetry_space_group_name_Hall 'P 1'
_cell_length_a 9.2629
_cell_length_b 9.2629
_cell_length_c 9.2629
_cell_angle_alpha 158.76
_cell_angle_beta 146.48
_cell_angle_gamma 40.02
loop_
_atom_site_label
_atom_site_fract_x
_atom_site_fract_y
_atom_site_fract_z
Li1 0.2484 0.0000 0.2484
Li2 0.7516 0.0000 0.7516
Pm1 0.1708 0.6708 0.5000
Pm2 0.8292 0.3292 0.5000
Hg1 0.3604 0.8604 0.5000
Hg2 0.6396 0.1396 0.5000
```

# 5
For Li3PmHg9, a PBE-relaxed structure gives the theoretical PXRD pattern in this record (Cu Ka).
Neutral-atom scattering factors, no anomalous dispersion.

Most intense lines, 2θ = 5–70°, by angle:
2θ/deg	d_spacing	I_rel
17.75	4.996	22
25.61	3.478	34
31.02	2.883	100
31.18	2.869	21
35.69	2.516	85
36.07	2.490	59
36.55	2.458	38
40.21	2.243	37
40.48	2.228	21
40.87	2.208	18

```
data_Li3PmHg9
_symmetry_space_group_name_H-M 'P 1'
_symmetry_Int_Tables_number 1
_symmetry_space_group_name_Hall 'P 1'
_cell_length_a 7.7005
_cell_length_b 7.7005
_cell_length_c 7.5012
_cell_angle_alpha 98.07
_cell_angle_beta 98.07
_cell_angle_gamma 136.07
loop_
_atom_site_label
_atom_site_fract_x
_atom_site_fract_y
_atom_site_fract_z
Li1 0.0000 0.0000 0.0000
Li2 0.0000 0.5000 0.5000
Li3 0.5000 0.0000 0.5000
Pm1 0.0000 0.0000 0.5000
Hg1 0.0063 0.6549 0.1774
Hg2 0.2576 0.4757 0.2903
Hg3 0.3451 0.9937 0.8226
Hg4 0.4757 0.2576 0.2903
Hg5 0.5000 0.5000 0.0000
Hg6 0.5243 0.7424 0.7097
Hg7 0.6549 0.0063 0.1774
Hg8 0.7424 0.5243 0.7097
Hg9 0.9937 0.3451 0.8226
```

# 6
For Li2Pm3Hg6, a PBE-relaxed structure gives the theoretical PXRD pattern in this record (Cu Ka).
Neutral-atom scattering factors, no anomalous dispersion.

Most intense lines, 2θ = 5–70°, by angle:
2θ/deg	d_spacing	I_rel
14.53	6.097	23
27.67	3.224	36
30.50	2.931	40
34.75	2.582	100
36.86	2.439	21
38.07	2.364	58
54.03	1.697	28
54.93	1.671	20
66.67	1.403	36
67.55	1.387	18

```
data_Li2Pm3Hg6
_symmetry_space_group_name_H-M 'P 1'
_symmetry_Int_Tables_number 1
_symmetry_space_group_name_Hall 'P 1'
_cell_length_a 12.6430
_cell_length_b 12.6430
_cell_length_c 12.6430
_cell_angle_alpha 158.45
_cell_angle_beta 158.45
_cell_angle_gamma 30.66
loop_
_atom_site_label
_atom_site_fract_x
_atom_site_fract_y
_atom_site_fract_z
Li1 0.0513 0.0513 0.0000
Li2 0.9487 0.9487 0.0000
Pm1 0.3067 0.3067 0.0000
Pm2 0.5000 0.5000 0.0000
Pm3 0.6933 0.6933 0.0000
Hg1 0.0961 0.5961 0.5000
Hg2 0.1811 0.1811 0.0000
Hg3 0.4039 0.9039 0.5000
Hg4 0.5961 0.0961 0.5000
Hg5 0.8189 0.8189 0.0000
Hg6 0.9039 0.4039 0.5000
```

# 7
For Li2Pm3Hg7, a PBE-relaxed structure gives the theoretical PXRD pattern in this record (Cu Ka).
Neutral-atom scattering factors, no anomalous dispersion.

Most intense lines, 2θ = 5–70°, by angle:
2θ/deg	d_spacing	I_rel
6.29	14.050	18
31.85	2.810	20
31.97	2.799	100
32.14	2.785	100
37.37	2.406	44
38.44	2.342	14
41.76	2.163	33
57.27	1.609	26
63.93	1.456	15
64.23	1.450	14

```
data_Li2Pm3Hg7
_symmetry_space_group_name_H-M 'P 1'
_symmetry_Int_Tables_number 1
_symmetry_space_group_name_Hall 'P 1'
_cell_length_a 4.8131
_cell_length_b 4.3260
_cell_length_c 14.2340
_cell_angle_alpha 90.00
_cell_angle_beta 99.22
_cell_angle_gamma 90.00
loop_
_atom_site_label
_atom_site_fract_x
_atom_site_fract_y
_atom_site_fract_z
Li1 0.1301 0.0000 0.2670
Li2 0.8699 0.0000 0.7330
Pm1 0.0000 0.0000 0.0000
Pm2 0.3216 0.5000 0.6407
Pm3 0.6784 0.5000 0.3593
Hg1 0.0839 0.5000 0.1695
Hg2 0.2226 0.0000 0.4440
Hg3 0.4154 0.0000 0.8264
Hg4 0.5000 0.5000 0.0000
Hg5 0.5846 0.0000 0.1736
Hg6 0.7774 0.0000 0.5560
Hg7 0.9161 0.5000 0.8305
```

# 8
For Li4PmHg8, a PBE-relaxed structure gives the theoretical PXRD pattern in this record (Cu Ka).
Neutral-atom scattering factors, no anomalous dispersion.

Most intense lines, 2θ = 5–70°, by angle:
2θ/deg	d_spacing	I_rel
18.01	4.926	21
25.57	3.483	57
31.60	2.832	50
32.02	2.795	57
36.48	2.463	27
36.61	2.455	100
41.08	2.197	30
41.42	2.180	36
60.10	1.539	24
65.74	1.420	32

```
data_Li4PmHg8
_symmetry_space_group_name_H-M 'P 1'
_symmetry_Int_Tables_number 1
_symmetry_space_group_name_Hall 'P 1'
_cell_length_a 7.5063
_cell_length_b 7.5063
_cell_length_c 7.5063
_cell_angle_alpha 97.97
_cell_angle_beta 97.97
_cell_angle_gamma 136.28
loop_
_atom_site_label
_atom_site_fract_x
_atom_site_fract_y
_atom_site_fract_z
Li1 0.0000 0.0000 0.5000
Li2 0.0000 0.5000 0.0000
Li3 0.5000 0.0000 0.0000
Li4 0.5000 0.5000 0.5000
Pm1 0.0000 0.0000 0.0000
Hg1 0.0000 0.3359 0.3359
Hg2 0.0000 0.6641 0.6641
Hg3 0.2860 0.5000 0.7860
Hg4 0.3359 0.0000 0.3359
Hg5 0.5000 0.2860 0.7860
Hg6 0.5000 0.7140 0.2140
Hg7 0.6641 0.0000 0.6641
Hg8 0.7140 0.5000 0.2140
```

# 9
For Li2PmTmHg4, a PBE-relaxed structure gives the theoretical PXRD pattern in this record (Cu Ka).
Neutral-atom scattering factors, no anomalous dispersion.

Most intense lines, 2θ = 5–70°, by angle:
2θ/deg	d_spacing	I_rel
21.59	4.116	27
24.94	3.571	43
35.46	2.531	100
35.65	2.519	100
42.01	2.151	13
43.99	2.058	10
51.16	1.785	36
63.56	1.464	18
63.91	1.457	37
64.03	1.454	19

```
data_Li2PmTmHg4
_symmetry_space_group_name_H-M 'P 1'
_symmetry_Int_Tables_number 1
_symmetry_space_group_name_Hall 'P 1'
_cell_length_a 8.7832
_cell_length_b 8.7832
_cell_length_c 8.7832
_cell_angle_alpha 33.33
_cell_angle_beta 33.33
_cell_angle_gamma 33.33
loop_
_atom_site_label
_atom_site_fract_x
_atom_site_fract_y
_atom_site_fract_z
Li1 0.2482 0.2482 0.2482
Li2 0.7518 0.7518 0.7518
Pm1 0.0000 0.0000 0.0000
Tm1 0.5000 0.5000 0.5000
Hg1 0.1276 0.1276 0.1276
Hg2 0.3784 0.3784 0.3784
Hg3 0.6216 0.6216 0.6216
Hg4 0.8724 0.8724 0.8724
```

# 10
For Li3Pr2Hg4, a PBE-relaxed structure gives the theoretical PXRD pattern in this record (Cu Ka).
Neutral-atom scattering factors, no anomalous dispersion.

Most intense lines, 2θ = 5–70°, by angle:
2θ/deg	d_spacing	I_rel
21.81	4.075	30
22.16	4.011	29
23.55	3.778	27
23.69	3.756	37
30.15	2.964	49
33.47	2.678	73
34.36	2.610	54
35.04	2.561	100
35.25	2.546	62
38.37	2.346	34

```
data_Li3Pr2Hg4
_symmetry_space_group_name_H-M 'P 1'
_symmetry_Int_Tables_number 1
_symmetry_space_group_name_Hall 'P 1'
_cell_length_a 5.1389
_cell_length_b 5.1494
_cell_length_c 9.2680
_cell_angle_alpha 80.20
_cell_angle_beta 86.31
_cell_angle_gamma 61.35
loop_
_atom_site_label
_atom_site_fract_x
_atom_site_fract_y
_atom_site_fract_z
Li1 0.0000 0.0000 0.0000
Li2 0.3181 0.2516 0.4158
Li3 0.6819 0.7484 0.5842
Pr1 0.3322 0.4045 0.7627
Pr2 0.6678 0.5955 0.2373
Hg1 0.0119 0.8878 0.3613
Hg2 0.3252 0.2953 0.1066
Hg3 0.6748 0.7047 0.8934
Hg4 0.9881 0.1122 0.6387
```

# 11
For LiPr6Hg, a PBE-relaxed structure gives the theoretical PXRD pattern in this record (Cu Ka).
Neutral-atom scattering factors, no anomalous dispersion.

Most intense lines, 2θ = 5–70°, by angle:
2θ/deg	d_spacing	I_rel
17.47	5.077	13
22.15	4.013	9
30.76	2.906	100
33.96	2.640	41
38.89	2.316	11
48.79	1.867	15
52.57	1.741	18
58.79	1.571	32
64.08	1.453	10
65.43	1.426	7

```
data_LiPr6Hg
_symmetry_space_group_name_H-M 'P 1'
_symmetry_Int_Tables_number 1
_symmetry_space_group_name_Hall 'P 1'
_cell_length_a 9.9863
_cell_length_b 9.9863
_cell_length_c 9.9863
_cell_angle_alpha 149.34
_cell_angle_beta 149.34
_cell_angle_gamma 43.91
loop_
_atom_site_label
_atom_site_fract_x
_atom_site_fract_y
_atom_site_fract_z
Li1 0.0000 0.0000 0.0000
Pr1 0.1106 0.6106 0.5000
Pr2 0.2481 0.2481 0.0000
Pr3 0.3894 0.8894 0.5000
Pr4 0.6106 0.1106 0.5000
Pr5 0.7519 0.7519 0.0000
Pr6 0.8894 0.3894 0.5000
Hg1 0.5000 0.5000 0.0000
```

# 12
For LiPr4Hg2, a PBE-relaxed structure gives the theoretical PXRD pattern in this record (Cu Ka).
Neutral-atom scattering factors, no anomalous dispersion.

Most intense lines, 2θ = 5–70°, by angle:
2θ/deg	d_spacing	I_rel
20.27	4.381	55
33.27	2.693	100
33.64	2.664	49
38.95	2.312	11
39.59	2.276	21
48.32	1.884	18
52.40	1.746	9
59.22	1.560	19
59.93	1.544	37
69.87	1.346	12

```
data_LiPr4Hg2
_symmetry_space_group_name_H-M 'P 1'
_symmetry_Int_Tables_number 1
_symmetry_space_group_name_Hall 'P 1'
_cell_length_a 5.3280
_cell_length_b 5.3280
_cell_length_c 7.6993
_cell_angle_alpha 90.00
_cell_angle_beta 90.00
_cell_angle_gamma 90.00
loop_
_atom_site_label
_atom_site_fract_x
_atom_site_fract_y
_atom_site_fract_z
Li1 0.0000 0.0000 0.0000
Pr1 0.0000 0.5000 0.2565
Pr2 0.0000 0.5000 0.7435
Pr3 0.5000 0.0000 0.2565
Pr4 0.5000 0.0000 0.7435
Hg1 0.0000 0.0000 0.5000
Hg2 0.5000 0.5000 0.0000
```